1.
# Ca3Cd9In2
Simulated PXRD pattern, Cu Kα (λ = 1.5418 Å). Input: a DFT-relaxed cell (PBE, Alexandria).
No peak broadening, texture or thermal motion is included.

Main lines, by angle (2θ = 15–90°):
2θ = 16.19°, rel. 27.8; 2θ = 31.63°, rel. 100.0; 2θ = 33.66°, rel. 46.6; 2θ = 38.40°, rel. 50.8; 2θ = 38.64°, rel. 67.5; 2θ = 40.60°, rel. 51.0

Cell lengths 9.1811, 9.1811, 9.1811 Å; angles 150.41, 106.77, 80.90 degrees
Atoms (fractional coordinates):
Ca 0.0000 0.0000 0.0000
Ca 0.2973 0.2973 0.0000
Ca 0.7027 0.7027 0.0000
Cd 0.0272 0.6554 0.3718
Cd 0.1402 0.8558 0.2844
Cd 0.2837 0.6554 0.6282
Cd 0.4286 0.1442 0.2844
Cd 0.5000 0.0000 0.5000
Cd 0.5714 0.8558 0.7156
Cd 0.7163 0.3446 0.3718
Cd 0.8598 0.1442 0.7156
Cd 0.9728 0.3446 0.6282
In 0.3138 0.5000 0.8138
In 0.6862 0.5000 0.1862

=====

2.
# CaCd5In4
Simulated PXRD pattern, Cu Kα (λ = 1.5418 Å). Input: a DFT-relaxed cell (PBE, Alexandria).
No peak broadening, texture or thermal motion is included.

Main lines, by angle (2θ = 15–90°):
2θ = 27.86°, rel. 33.3; 2θ = 34.07°, rel. 100.0; 2θ = 34.40°, rel. 40.0; 2θ = 36.13°, rel. 44.4; 2θ = 36.87°, rel. 58.8; 2θ = 50.75°, rel. 23.7

Cell lengths 7.5025, 7.5025, 10.4901 Å; angles 128.34, 128.34, 38.70 degrees
Atoms (fractional coordinates):
Ca 0.0000 0.0000 0.0000
Cd 0.0000 0.0000 0.5000
Cd 0.2929 0.2929 0.8279
Cd 0.3437 0.3437 0.3240
Cd 0.6563 0.6563 0.6760
Cd 0.7071 0.7071 0.1721
In 0.1686 0.1686 0.4115
In 0.4957 0.4957 0.2210
In 0.5043 0.5043 0.7790
In 0.8314 0.8314 0.5885